# CsCr2PbO8
Simulated X-ray powder pattern, Cu Ka. Input: a cell relaxed with PBE+U.
Neutral-atom scattering factors, no anomalous dispersion.

Largest 10 diffraction maxima, in order of rising 2θ, 10 to 90 degrees two-theta:
| h k l | two_theta | d/Å | Rel. int. |
| --- | --- | --- | --- |
| 1 0 0 | 18.51 | 4.793 | 59 |
| 0 1 1 | 21.06 | 4.218 | 31 |
| 0 1 2 | 27.37 | 3.258 | 100 |
| 1 1 0 | 32.36 | 2.767 | 42 |
| 2 -1 2 | 38.32 | 2.349 | 21 |
| 0 2 2 | 42.88 | 2.109 | 31 |
| 1 0 4 | 44.98 | 2.016 | 19 |
| 1 1 4 | 52.85 | 1.732 | 20 |
| 3 -2 2 | 54.72 | 1.677 | 28 |
| 3 1 2 | 74.51 | 1.273 | 12 |

Structure:
```
data_CsCr2PbO8
_space_group_name_H-M_alt 'P -3'
_space_group_IT_number 147
_space_group_name_Hall '-P 3'
_cell_length_a 5.5339
_cell_length_b 5.5339
_cell_length_c 8.8861
_cell_angle_alpha 90.00
_cell_angle_beta 90.00
_cell_angle_gamma 120.00
loop_
_atom_site_label
_atom_site_type_symbol
_atom_site_fract_x
_atom_site_fract_y
_atom_site_fract_z
_atom_site_occupancy
Cs1 Cs 0.0000 0.0000 0.0000 1
Cr1 Cr 0.3333 0.6667 0.7217 1
Pb1 Pb 0.0000 0.0000 0.5000 1
O1 O 0.0669 0.3605 0.6612 1
O2 O 0.3333 0.6667 0.9051 1
```